(1)
For K2NaYBr6, a PBE-relaxed structure gives the theoretical PXRD pattern in this record (copper Kα).
Kinematic intensities with the Lorentz-polarization factor, no thermal factor.

Cell and atoms:
```
K2NaYBr6
1.0
0.0000 5.6758 5.6758
5.6758 0.0000 5.6758
5.6758 5.6758 0.0000
K Na Y Br
2 1 1 6
Cartesian
2.8379 2.8379 2.8379 K
8.5136 8.5136 8.5136 K
0.0000 0.0000 0.0000 Na
5.6758 5.6758 5.6758 Y
5.6758 5.6758 2.8886 Br
5.6758 2.8886 5.6758 Br
8.4629 5.6758 5.6758 Br
2.8886 5.6758 5.6758 Br
5.6758 8.4629 5.6758 Br
5.6758 5.6758 8.4629 Br
```

Top 8 peaks for 10 to 90 degrees two-theta, low angle first:
d [Å], Position (°2θ), I/Imax
5.676, 15.6, 45
3.277, 27.2, 88
2.838, 31.5, 100
2.538, 35.4, 24
2.007, 45.2, 71
1.711, 53.5, 37
1.638, 56.1, 24
1.269, 74.8, 30

***

(2)
For CrFeS4, a PBE-relaxed structure gives the theoretical PXRD pattern in this record (copper Kα).
Kinematic intensities with the Lorentz-polarization factor, no thermal factor.

Cell and atoms:
```
CrFeS4
1.0
-3.3736 3.4209 4.7844
3.3736 -3.4209 4.7844
3.3736 3.4209 -4.7844
Cr Fe S
2 2 8
Cartesian
0.0000 0.0000 0.0000 Cr
0.0000 3.4209 0.0000 Cr
3.3736 1.7104 1.2047 Fe
0.0000 1.7104 3.5796 Fe
1.6231 1.7104 -0.0468 S
1.7505 -1.7104 4.7376 S
0.0000 0.0970 2.3293 S
3.3736 0.0970 2.4551 S
0.0000 3.3239 2.3293 S
3.3736 3.3239 2.4551 S
1.6231 5.1313 0.0468 S
1.7505 1.7104 4.8312 S
```

Top 8 peaks for 10 to 90 degrees two-theta, low angle first:
d [Å], Position (°2θ), I/Imax
5.565, 15.9, 54
3.390, 26.3, 51
3.374, 26.4, 47
2.907, 30.8, 87
2.885, 31.0, 69
2.402, 37.4, 43
1.843, 49.5, 45
1.695, 54.1, 100

***

(3)
For Tb2MgCuGe4O12, a PBE-relaxed structure gives the theoretical PXRD pattern in this record (copper Kα).
Kinematic intensities with the Lorentz-polarization factor, no thermal factor.

Cell and atoms:
```
Tb2MgCuGe4O12
1.0
5.2487 0.0000 0.0000
1.6820 7.3837 0.0000
0.3244 3.4361 7.3897
Tb Mg Cu Ge O
2 1 1 4 12
Cartesian
0.7820 3.5361 3.2079 Tb
6.4732 7.2837 4.1818 Tb
3.4654 3.6918 0.0000 Mg
0.8410 3.6918 0.0000 Cu
3.9598 9.3802 5.8059 Ge
3.5209 5.7805 1.8279 Ge
3.7343 5.0394 5.5617 Ge
3.2954 1.4396 1.5837 Ge
2.6897 9.1038 4.6197 O
2.1390 5.5963 2.9048 O
2.8491 5.7775 0.0938 O
2.6535 6.4526 5.7887 O
2.1165 2.8287 1.4383 O
2.7998 3.5827 5.0729 O
4.4554 7.2372 2.3167 O
5.1387 7.9911 5.9513 O
4.6016 4.3673 1.6009 O
4.4060 5.0423 7.2958 O
5.1162 5.2235 4.4849 O
4.5655 1.7160 2.7700 O
```

Top 8 peaks for 10 to 90 degrees two-theta, low angle first:
d [Å], Position (°2θ), I/Imax
7.390, 12.0, 36
4.326, 20.5, 35
4.088, 21.7, 28
3.728, 23.9, 43
3.362, 26.5, 100
3.083, 29.0, 40
2.911, 30.7, 52
2.657, 33.7, 31

***

(4)
For YReN3, a PBE-relaxed structure gives the theoretical PXRD pattern in this record (copper Kα).
Kinematic intensities with the Lorentz-polarization factor, no thermal factor.

Cell and atoms:
```
YReN3
1.0
2.7768 1.6032 4.4331
-2.7768 1.6032 4.4331
0.0000 -3.2064 4.4331
Y Re N
2 2 6
Cartesian
0.0000 0.0000 3.3248 Y
0.0000 0.0000 9.9745 Y
0.0000 0.0000 0.0000 Re
0.0000 0.0000 6.6496 Re
-1.5995 0.4359 5.5414 N
-1.1773 -1.1673 7.7579 N
0.4223 -1.6032 5.5414 N
-0.4223 1.6032 7.7579 N
1.1773 1.1673 5.5414 N
1.5995 -0.4359 7.7579 N
```

Top 8 peaks for 10 to 90 degrees two-theta, low angle first:
d [Å], Position (°2θ), I/Imax
3.897, 22.8, 38
2.777, 32.2, 100
2.735, 32.7, 100
1.949, 46.6, 48
1.603, 57.5, 23
1.595, 57.8, 41
1.571, 58.8, 19
1.227, 77.9, 17

***

(5)
For ErAlPd, a PBE-relaxed structure gives the theoretical PXRD pattern in this record (copper Kα).
Kinematic intensities with the Lorentz-polarization factor, no thermal factor.

Cell and atoms:
```
ErAlPd
1.0
6.8590 0.0000 0.0000
0.0000 4.4259 0.0000
0.0000 0.0000 7.7709
Er Al Pd
4 4 4
Cartesian
0.2229 1.1065 1.3876 Er
3.2066 3.3194 5.2730 Er
3.6525 1.1065 2.4979 Er
6.6361 3.3194 6.3833 Er
0.9803 1.1065 4.3527 Al
2.4492 3.3194 0.4672 Al
4.4098 1.1065 7.3037 Al
5.8787 3.3194 3.4183 Al
1.5712 3.3194 2.9426 Pd
1.8583 1.1065 6.8280 Pd
5.0007 3.3194 0.9429 Pd
5.2879 1.1065 4.8284 Pd
```

Top 8 peaks for 10 to 90 degrees two-theta, low angle first:
d [Å], Position (°2θ), I/Imax
3.355, 26.6, 24
2.687, 33.4, 59
2.560, 35.1, 100
2.423, 37.1, 23
2.236, 40.3, 15
2.213, 40.8, 33
2.126, 42.5, 16
1.971, 46.1, 17